Diffraction record for TbHoInCu2. The powder diffractogram is computed, not measured: it uses DFT lattice parameters and positions (PBE) and a wavelength of 1.5418 Å.
Kinematic intensities with the Lorentz-polarization factor, no thermal factor.

The 10 most intense peaks (15° ≤ 2θ ≤ 90°), by angle:
- 2θ = 28.39°, I = 38, hkl 0 1 3
- 2θ = 33.24°, I = 100, hkl 1 1 1
- 2θ = 35.87°, I = 66, hkl 1 0 4
- 2θ = 38.03°, I = 32, hkl 1 1 3
- 2θ = 38.53°, I = 41, hkl 0 1 5
- 2θ = 42.40°, I = 30, hkl 0 2 0
- 2θ = 50.83°, I = 18, hkl 2 0 0
- 2θ = 56.71°, I = 35, hkl 1 2 4
- 2θ = 65.56°, I = 17, hkl 2 1 5
- 2θ = 68.28°, I = 14, hkl 2 2 0

Crystal structure
Cell: 3.592 4.264 13.965 Å, 90.00 90.00 90.00°
Space group Amm2 (No. 38)
Asymmetric unit:
Tb1 0.000 0.000 0.000 (multiplicity 2)
Ho1 0.000 0.000 0.266 (multiplicity 2)
In1 0.500 0.000 0.634 (multiplicity 2)
Cu1 0.500 0.000 0.431 (multiplicity 2)
Cu2 0.500 0.000 0.833 (multiplicity 2)